The following is a simulated X-ray powder pattern of KPa2CuS8. It was derived from DFT lattice parameters and positions (PBE), using CuKα.

Most intense lines, 5° ≤ 2θ ≤ 70°, in order of rising 2θ:
two_theta	I/Imax	hkl
9.6	100	0 0 1
19.9	51	0 1 1
26.1	29	1 0 2
30.5	39	1 1 0
32.0	15	1 1 1
34.0	22	1 0 3
36.7	34	2 0 1
40.5	30	0 2 2
43.0	12	1 0 4
46.3	16	0 2 3
48.4	12	1 2 1
51.5	12	2 1 2

Structure:
```
data_KPa2CuS8
_symmetry_space_group_name_H-M 'P -3 m 1'
_symmetry_Int_Tables_number 164
_symmetry_space_group_name_Hall '-P 3 2"'
_cell_length_a 5.8682
_cell_length_b 5.8682
_cell_length_c 9.2372
_cell_angle_alpha 90.00
_cell_angle_beta 90.00
_cell_angle_gamma 120.00
loop_
_atom_site_label
_atom_site_type_symbol
_atom_site_fract_x
_atom_site_fract_y
_atom_site_fract_z
K1 K 0.0000 0.0000 0.0000
Pa1 Pa 0.3333 0.6667 0.3752
Cu1 Cu 0.0000 0.0000 0.5000
S1 S 0.1783 0.3567 0.6529
S2 S 0.3333 0.6667 0.1141
```



The following is a simulated X-ray powder pattern of NaCu4Cl8. It was derived from DFT lattice parameters and positions (PBE), using CuKα.

Most intense lines, 5° ≤ 2θ ≤ 70°, in order of rising 2θ:
two_theta	I/Imax	hkl
13.3	100	0 0 3
29.2	20	0 2 1
34.1	85	0 2 4
36.7	3	2 0 5
43.2	24	0 2 7
46.8	26	2 0 8
51.0	26	2 2 0
53.0	15	2 2 3
55.4	3	0 0 12
59.1	12	2 0 11
62.8	12	4 0 4
69.0	5	4 0 7

Structure:
```
data_NaCu4Cl8
_symmetry_space_group_name_H-M 'R -3 m'
_symmetry_Int_Tables_number 166
_symmetry_space_group_name_Hall '-R 3 2"'
_cell_length_a 7.1581
_cell_length_b 7.1581
_cell_length_c 19.9100
_cell_angle_alpha 90.00
_cell_angle_beta 90.00
_cell_angle_gamma 120.00
loop_
_atom_site_label
_atom_site_type_symbol
_atom_site_fract_x
_atom_site_fract_y
_atom_site_fract_z
Na1 Na 0.0000 0.0000 0.0000
Cu1 Cu 0.0000 0.0000 0.5000
Cu2 Cu 0.0000 0.5000 0.5000
Cl1 Cl 0.0000 0.0000 0.2303
Cl2 Cl 0.0021 0.5010 0.2360
```



The following is a simulated X-ray powder pattern of Ga2PtRh3. It was derived from DFT lattice parameters and positions (PBE), using CuKα.

Most intense lines, 5° ≤ 2θ ≤ 70°, in order of rising 2θ:
two_theta	I/Imax	hkl
13.5	20	0 0 1
33.9	9	0 1 1
36.9	17	1 1 0
40.2	45	2 0 -1
40.6	100	1 1 1
41.4	49	0 0 3
44.5	93	1 1 -2
45.1	10	2 0 -2
52.8	18	2 0 2
64.4	14	0 2 0
65.0	11	2 0 -4
70.0	10	3 1 -1

Structure:
```
data_Ga2PtRh3
_symmetry_space_group_name_H-M 'P 1 2/m 1'
_symmetry_Int_Tables_number 10
_symmetry_space_group_name_Hall '-P 2y'
_cell_length_a 4.569
_cell_length_b 2.892
_cell_length_c 6.619
_cell_angle_alpha 90.00
_cell_angle_beta 99.08
_cell_angle_gamma 90.00
loop_
_atom_site_label
_atom_site_type_symbol
_atom_site_fract_x
_atom_site_fract_y
_atom_site_fract_z
Ga1 Ga 0.212 0.000 0.321
Pt1 Pt 0.500 0.000 0.000
Rh1 Rh 0.000 0.500 0.000
Rh2 Rh 0.275 0.500 0.647
```